Structure and calculated powder XRD pattern of Ti4N3 (a crystal structure in Alexandria, relaxed with GGA-PBE; CuKα).
Kinematic intensities with the Lorentz-polarization factor, no thermal factor.

Top 8 peaks for 2θ = 5–70°, in order of rising 2θ:
| 2θ/deg | I (rel.) |
| --- | --- |
| 18.19 | 12.4 |
| 36.58 | 68.6 |
| 36.86 | 66.2 |
| 42.55 | 100.0 |
| 42.87 | 48.9 |
| 61.37 | 14.5 |
| 61.99 | 55.3 |
| 62.13 | 13.4 |

```
Ti4N3
1.0
2.988 -4.219 0.000
2.988 4.219 0.000
0.000 0.000 3.021
Ti N
4 3
Direct
0.238 0.238 0.500
0.245 0.755 0.000
0.755 0.245 0.000
0.762 0.762 0.500
0.000 0.000 0.000
0.000 0.500 0.500
0.500 0.000 0.500
```